For Ba6Bi2PO, a crystal structure in Alexandria, relaxed with PBE gives the computed XRD peak list in this record (Cu Ka).
Neutral-atom scattering factors, no anomalous dispersion.

Peak list (10 most intense, 2θ = 15–90°, by angle)
- 2θ 26.4, I = 100.0, (1 1 2)
- 2θ 30.2, I = 43.0, (2 0 0)
- 2θ 31.2, I = 17.9, (0 0 4)
- 2θ 43.2, I = 16.1, (2 2 0)
- 2θ 43.9, I = 27.4, (2 0 4)
- 2θ 51.3, I = 32.6, (3 1 2)
- 2θ 52.6, I = 11.8, (1 1 6)
- 2θ 54.2, I = 14.7, (2 2 4)
- 2θ 70.4, I = 10.1, (3 1 6)
- 2θ 79.8, I = 9.8, (4 2 4)

Structure:
a b c (Å): 5.920 5.920 11.480
angles (deg): 90.00 90.00 90.00
Space group P4/mmm (No. 123)
Symmetry-distinct sites (fractional):
Ba1 0.000 0.000 0.231 [2 per cell]
Ba2 0.000 0.500 0.000 [2 per cell]
Ba3 0.000 0.500 0.500 [2 per cell]
Bi1 0.500 0.500 0.233 [2 per cell]
P1 0.000 0.000 0.500 [1 per cell]
O1 0.000 0.000 0.000 [1 per cell]

For Ba3Bi2P4O16, a crystal structure in Alexandria, relaxed with PBE gives the computed XRD peak list in this record (Cu Ka).
Neutral-atom scattering factors, no anomalous dispersion.

Peak list (10 most intense, 2θ = 15–90°, by angle)
- 2θ 19.9, I = 32.4, (0 2 0)
- 2θ 21.4, I = 32.9, (0 0 2)
- 2θ 24.9, I = 93.0, (5 1 0)
- 2θ 25.8, I = 75.9, (2 2 1)
- 2θ 27.4, I = 100.0, (5 1 -2)
- 2θ 29.4, I = 51.0, (0 2 2)
- 2θ 43.1, I = 38.9, (7 3 -1)
- 2θ 43.4, I = 45.0, (3 3 -3)
- 2θ 43.8, I = 25.8, (2 4 1)
- 2θ 48.6, I = 32.0, (7 3 1)

Structure:
a b c (Å): 20.745 8.921 8.826
angles (deg): 90.00 109.74 90.00
Space group C2/c (No. 15)
Symmetry-distinct sites (fractional):
Ba1 0.000 0.055 0.250 [4 per cell]
Ba2 0.217 0.062 0.771 [8 per cell]
Bi1 0.081 0.438 0.678 [8 per cell]
P1 0.109 0.216 0.982 [8 per cell]
P2 0.145 0.305 0.449 [8 per cell]
O1 0.066 0.315 0.409 [8 per cell]
O2 0.072 0.093 0.042 [8 per cell]
O3 0.076 0.376 0.985 [8 per cell]
O4 0.094 0.193 0.794 [8 per cell]
O5 0.168 0.422 0.345 [8 per cell]
O6 0.171 0.148 0.438 [8 per cell]
O7 0.175 0.359 0.632 [8 per cell]
O8 0.187 0.214 0.068 [8 per cell]

For Ba4BiPb3O12, a crystal structure in Alexandria, relaxed with PBE gives the computed XRD peak list in this record (Cu Ka).
Neutral-atom scattering factors, no anomalous dispersion.

Peak list (10 most intense, 2θ = 15–90°, by angle)
- 2θ 28.7, I = 19.5, (2 0 2)
- 2θ 28.9, I = 100.0, (3 1 -1)
- 2θ 41.3, I = 21.7, (2 2 2)
- 2θ 41.5, I = 10.3, (4 0 -4)
- 2θ 51.0, I = 18.1, (1 1 5)
- 2θ 51.2, I = 8.8, (6 0 -2)
- 2θ 51.4, I = 25.9, (4 2 -4)
- 2θ 60.0, I = 13.3, (6 2 -2)
- 2θ 67.8, I = 7.9, (5 3 1)
- 2θ 83.0, I = 9.1, (5 3 -7)

Structure:
a b c (Å): 10.699 6.157 10.698
angles (deg): 90.00 108.93 90.00
Space group C2/m (No. 12)
Symmetry-distinct sites (fractional):
Ba1 0.122 0.000 0.371 [4 per cell]
Ba2 0.122 0.500 0.873 [4 per cell]
Bi1 0.000 0.500 0.500 [2 per cell]
Pb1 0.000 0.000 0.000 [2 per cell]
Pb2 0.249 0.500 0.248 [4 per cell]
O1 0.105 0.249 0.146 [8 per cell]
O2 0.107 0.251 0.641 [8 per cell]
O3 0.156 0.500 0.409 [4 per cell]
O4 0.159 0.000 0.909 [4 per cell]

For Ba4Bi3PbO12, a crystal structure in Alexandria, relaxed with PBE gives the computed XRD peak list in this record (Cu Ka).
Neutral-atom scattering factors, no anomalous dispersion.

Peak list (10 most intense, 2θ = 15–90°, by angle)
- 2θ 28.5, I = 19.3, (2 0 2)
- 2θ 28.7, I = 100.0, (1 1 -3)
- 2θ 40.9, I = 21.6, (2 2 2)
- 2θ 41.2, I = 10.2, (4 0 -4)
- 2θ 50.6, I = 18.1, (1 1 5)
- 2θ 50.9, I = 12.9, (6 0 -2)
- 2θ 51.0, I = 21.9, (4 2 -4)
- 2θ 59.5, I = 10.2, (0 4 0)
- 2θ 67.2, I = 7.9, (1 3 5)
- 2θ 82.1, I = 9.3, (3 1 -9)

Structure:
a b c (Å): 10.785 6.211 10.761
angles (deg): 90.00 108.97 90.00
Space group C2/m (No. 12)
Symmetry-distinct sites (fractional):
Ba1 0.127 0.000 0.375 [4 per cell]
Ba2 0.130 0.500 0.881 [4 per cell]
Bi1 0.000 0.500 0.500 [2 per cell]
Bi2 0.248 0.500 0.249 [4 per cell]
Pb1 0.000 0.000 0.000 [2 per cell]
O1 0.090 0.500 0.335 [4 per cell]
O2 0.094 0.000 0.842 [4 per cell]
O3 0.145 0.251 0.107 [8 per cell]
O4 0.148 0.247 0.609 [8 per cell]

For Ba4BiPb3O12, a crystal structure in Alexandria, relaxed with PBE gives the computed XRD peak list in this record (Cu Ka).
Neutral-atom scattering factors, no anomalous dispersion.

Peak list (10 most intense, 2θ = 15–90°, by angle)
- 2θ 20.3, I = 9.2, (0 0 4)
- 2θ 28.9, I = 100.0, (1 1 0)
- 2θ 41.2, I = 9.2, (0 0 8)
- 2θ 41.4, I = 18.6, (2 0 0)
- 2θ 51.1, I = 14.0, (1 1 8)
- 2θ 51.2, I = 28.2, (2 1 4)
- 2θ 59.8, I = 12.0, (2 0 8)
- 2θ 67.9, I = 12.5, (3 1 0)
- 2θ 82.5, I = 7.4, (2 1 12)
- 2θ 82.6, I = 15.1, (3 2 4)

Structure:
a b c (Å): 4.365 4.365 17.534
angles (deg): 90.00 90.00 90.00
Space group P4/mmm (No. 123)
Symmetry-distinct sites (fractional):
Ba1 0.000 0.000 0.123 [2 per cell]
Ba2 0.000 0.000 0.370 [2 per cell]
Bi1 0.500 0.500 0.500 [1 per cell]
Pb1 0.500 0.500 0.000 [1 per cell]
Pb2 0.500 0.500 0.249 [2 per cell]
O1 0.000 0.500 0.000 [2 per cell]
O2 0.000 0.500 0.255 [4 per cell]
O3 0.000 0.500 0.500 [2 per cell]
O4 0.500 0.500 0.126 [2 per cell]
O5 0.500 0.500 0.377 [2 per cell]

For Ba4BiPb3O12, a crystal structure in Alexandria, relaxed with PBE gives the computed XRD peak list in this record (Cu Ka).
Neutral-atom scattering factors, no anomalous dispersion.

Peak list (10 most intense, 2θ = 15–90°, by angle)
- 2θ 28.7, I = 19.5, (2 0 0)
- 2θ 28.9, I = 100.0, (1 1 2)
- 2θ 41.3, I = 21.8, (2 2 0)
- 2θ 41.5, I = 10.3, (0 0 4)
- 2θ 51.0, I = 18.1, (3 1 2)
- 2θ 51.3, I = 8.8, (2 0 -4)
- 2θ 51.4, I = 25.9, (0 2 4)
- 2θ 60.0, I = 13.3, (2 2 4)
- 2θ 67.8, I = 7.9, (3 3 2)
- 2θ 82.9, I = 9.2, (2 4 -4)

Structure:
a b c (Å): 6.217 6.161 8.700
angles (deg): 90.00 90.05 90.00
Space group P2/m (No. 10)
Symmetry-distinct sites (fractional):
Ba1 0.005 0.000 0.253 [2 per cell]
Ba2 0.493 0.500 0.253 [2 per cell]
Bi1 0.000 0.500 0.000 [1 per cell]
Pb1 0.000 0.500 0.500 [1 per cell]
Pb2 0.500 0.000 0.000 [1 per cell]
Pb3 0.500 0.000 0.500 [1 per cell]
O1 0.066 0.500 0.753 [2 per cell]
O2 0.246 0.252 0.037 [4 per cell]
O3 0.249 0.251 0.464 [4 per cell]
O4 0.435 0.000 0.751 [2 per cell]

For BaBiPb2O4, a crystal structure in Alexandria, relaxed with PBE gives the computed XRD peak list in this record (Cu Ka).
Neutral-atom scattering factors, no anomalous dispersion.

Peak list (10 most intense, 2θ = 15–90°, by angle)
- 2θ 25.6, I = 88.2, (0 0 4)
- 2θ 28.0, I = 81.5, (1 1 2)
- 2θ 29.1, I = 100.0, (0 4 2)
- 2θ 31.1, I = 31.1, (1 3 0)
- 2θ 31.7, I = 26.8, (1 3 1)
- 2θ 41.0, I = 27.7, (1 5 0)
- 2θ 47.3, I = 29.2, (0 4 6)
- 2θ 48.9, I = 26.8, (1 5 4)
- 2θ 56.2, I = 23.1, (2 0 4)
- 2θ 58.1, I = 30.6, (2 4 2)

Structure:
a b c (Å): 3.710 13.685 13.940
angles (deg): 90.00 90.00 90.00
Space group Cmcm (No. 63)
Symmetry-distinct sites (fractional):
Ba1 0.000 0.026 0.250 [4 per cell]
Bi1 0.000 0.237 0.750 [4 per cell]
Pb1 0.000 0.378 0.008 [8 per cell]
O1 0.000 0.000 0.000 [4 per cell]
O2 0.000 0.366 0.250 [4 per cell]
O3 0.000 0.366 0.652 [8 per cell]

For Ba8Tl2Bi2Pb4O17, a crystal structure in Alexandria, relaxed with PBE gives the computed XRD peak list in this record (Cu Ka).
Neutral-atom scattering factors, no anomalous dispersion.

Peak list (10 most intense, 2θ = 15–90°, by angle)
- 2θ 27.8, I = 100.0, (1 -1 4)
- 2θ 27.9, I = 51.6, (-1 1 4)
- 2θ 28.2, I = 49.9, (2 0 0)
- 2θ 30.8, I = 46.7, (1 1 -4)
- 2θ 32.0, I = 46.7, (1 1 4)
- 2θ 34.2, I = 42.5, (2 -2 0)
- 2θ 44.8, I = 17.7, (0 0 8)
- 2θ 47.4, I = 14.7, (-1 3 4)
- 2θ 47.6, I = 15.2, (3 -1 4)
- 2θ 54.5, I = 22.6, (2 0 8)

Structure:
a b c (Å): 6.564 6.660 16.181
angles (deg): 91.61 91.00 105.15
Space group P1 (No. 1)
Symmetry-distinct sites (fractional):
Ba1 0.000 0.000 0.000 [1 per cell]
Ba2 0.002 0.020 0.243 [1 per cell]
Ba3 0.011 0.953 0.746 [1 per cell]
Ba4 0.489 0.468 0.741 [1 per cell]
Ba5 0.491 0.452 0.498 [1 per cell]
Ba6 0.517 0.475 0.995 [1 per cell]
Ba7 0.550 0.472 0.240 [1 per cell]
Ba8 0.982 0.953 0.504 [1 per cell]
Tl1 0.035 0.522 0.104 [1 per cell]
Tl2 0.491 0.945 0.632 [1 per cell]
Bi1 0.521 0.987 0.376 [1 per cell]
Bi2 0.984 0.445 0.856 [1 per cell]
Pb1 0.061 0.515 0.363 [1 per cell]
Pb2 0.497 0.966 0.118 [1 per cell]
Pb3 0.526 0.973 0.870 [1 per cell]
Pb4 0.977 0.435 0.621 [1 per cell]
O1 0.140 0.615 0.497 [1 per cell]
O2 0.142 0.607 0.737 [1 per cell]
O3 0.220 0.271 0.871 [1 per cell]
O4 0.226 0.250 0.616 [1 per cell]
O5 0.257 0.287 0.359 [1 per cell]
O6 0.299 0.201 0.119 [1 per cell]
O7 0.306 0.779 0.210 [1 per cell]
O8 0.369 0.842 0.998 [1 per cell]
O9 0.603 0.082 0.502 [1 per cell]
O10 0.726 0.784 0.366 [1 per cell]
O11 0.736 0.757 0.116 [1 per cell]
O12 0.737 0.750 0.868 [1 per cell]
O13 0.747 0.742 0.622 [1 per cell]
O14 0.753 0.256 0.341 [1 per cell]
O15 0.754 0.229 0.945 [1 per cell]
O16 0.770 0.218 0.151 [1 per cell]
O17 0.780 0.238 0.767 [1 per cell]

For BaPmBiO4, a crystal structure in Alexandria, relaxed with PBE gives the computed XRD peak list in this record (Cu Ka).
Neutral-atom scattering factors, no anomalous dispersion.

Peak list (10 most intense, 2θ = 15–90°, by angle)
- 2θ 24.3, I = 20.5, (0 2 0)
- 2θ 28.6, I = 100.0, (0 1 3)
- 2θ 29.9, I = 34.7, (2 0 2)
- 2θ 34.7, I = 16.9, (2 2 0)
- 2θ 42.8, I = 8.3, (2 0 4)
- 2θ 45.5, I = 41.9, (2 3 1)
- 2θ 49.8, I = 36.1, (0 4 0)
- 2θ 59.2, I = 18.4, (0 2 6)
- 2θ 69.8, I = 14.0, (0 5 3)
- 2θ 69.9, I = 9.6, (4 1 5)

Structure:
a b c (Å): 7.308 7.326 10.349
angles (deg): 90.00 90.00 90.00
Space group Imma (No. 74)
Symmetry-distinct sites (fractional):
Ba1 0.000 0.250 0.123 [4 per cell]
Pm1 0.000 0.000 0.500 [4 per cell]
Bi1 0.250 0.250 0.750 [4 per cell]
O1 0.000 0.031 0.730 [8 per cell]
O2 0.210 0.250 0.517 [8 per cell]

For BaPmBi4O8, a crystal structure in Alexandria, relaxed with PBE gives the computed XRD peak list in this record (Cu Ka).
Neutral-atom scattering factors, no anomalous dispersion.

Peak list (10 most intense, 2θ = 15–90°, by angle)
- 2θ 24.6, I = 20.2, (1 0 4)
- 2θ 28.8, I = 100.0, (0 2 1)
- 2θ 28.9, I = 31.9, (0 1 5)
- 2θ 30.1, I = 33.7, (2 0 2)
- 2θ 34.9, I = 16.2, (0 2 4)
- 2θ 45.8, I = 37.7, (1 2 5)
- 2θ 50.1, I = 27.7, (2 2 0)
- 2θ 50.3, I = 26.3, (2 0 8)
- 2θ 58.8, I = 15.4, (4 0 1)
- 2θ 70.2, I = 14.1, (4 1 3)

Structure:
a b c (Å): 7.2893 7.2893 17.7152
angles (deg): 90.00 90.00 120.00
Space group R3m (No. 160, hexagonal axes)
Symmetry-distinct sites (fractional):
Ba1 0.0000 0.0000 0.0000 [3 per cell]
Pm1 0.0000 0.0000 0.6255 [3 per cell]
Bi1 0.0000 0.0000 0.2411 [3 per cell]
Bi2 0.1689 0.3378 0.4573 [9 per cell]
O1 0.0000 0.0000 0.3633 [3 per cell]
O2 0.0000 0.0000 0.8525 [3 per cell]
O3 0.0518 0.5259 0.3851 [9 per cell]
O4 0.1828 0.3655 0.2137 [9 per cell]